Structure and calculated powder X-ray diffraction pattern of Li7Ga12Pt (a cell relaxed with GGA-PBE; λ = 1.5418 Å (Cu Kα)).

Peak list (10 most intense, 2θ from 10° to 90°, by angle)
two_theta  intensity
12.63  100
28.47  6
33.83  14
38.53  9
40.70  19
42.78  16
44.78  12
46.72  15
71.17  6
83.97  6

Cell and atoms:
```
Li7Ga12Pt
1.0
-4.9571 4.9571 4.9571
4.9571 -4.9571 4.9571
4.9571 4.9571 -4.9571
Li Ga Pt
7 12 1
Direct
0.0000 0.0000 0.5000
0.0000 0.5000 0.0000
0.0000 0.5000 0.5000
0.5000 0.0000 0.0000
0.5000 0.0000 0.5000
0.5000 0.5000 0.0000
0.5000 0.5000 0.5000
0.0925 0.8606 0.2319
0.1394 0.2319 0.3713
0.1394 0.7681 0.9075
0.2319 0.0925 0.8606
0.2319 0.3713 0.1394
0.3713 0.1394 0.2319
0.6287 0.8606 0.7681
0.7681 0.6287 0.8606
0.7681 0.9075 0.1394
0.8606 0.2319 0.0925
0.8606 0.7681 0.6287
0.9075 0.1394 0.7681
0.0000 0.0000 0.0000
```

=====

Structure and calculated powder X-ray diffraction pattern of SrTmW2N6 (a cell relaxed with GGA-PBE; λ = 1.5418 Å (Cu Kα)).

Peak list (10 most intense, 2θ from 10° to 90°, by angle)
two_theta  intensity
16.26  28
24.31  45
24.61  100
27.13  35
29.96  39
32.14  18
32.90  59
35.38  29
47.98  26
57.27  23

Cell and atoms:
```
SrTmW2N6
1.0
5.6939 -5.1563 0.0000
5.6939 5.1563 0.0000
-2.6578 0.0000 5.9647
Sr Tm W N
2 2 4 12
Direct
0.0956 0.9044 0.7500
0.9044 0.0956 0.2500
0.2750 0.7250 0.2500
0.7250 0.2750 0.7500
0.2164 0.3767 0.8185
0.3767 0.2164 0.3185
0.6233 0.7836 0.6815
0.7836 0.6233 0.1815
0.0046 0.2413 0.6876
0.1569 0.6152 0.8622
0.2413 0.0046 0.1876
0.3141 0.3798 0.1282
0.3798 0.3141 0.6282
0.3848 0.8431 0.6378
0.6152 0.1569 0.3622
0.6202 0.6859 0.3718
0.6859 0.6202 0.8718
0.7587 0.9954 0.8124
0.8431 0.3848 0.1378
0.9954 0.7587 0.3124
```